[1]
Theoretical X-ray powder pattern
Compound: LiCrP2O7
Radiation: CuKα
Structure: DFT lattice parameters and positions (PBE+U)
Intensities are scaled so that the largest is 100.

Structural model:
```
data_LiCrP2O7
_symmetry_space_group_name_H-M 'C 1 2/m 1'
_symmetry_Int_Tables_number 12
_symmetry_space_group_name_Hall '-C 2y'
_cell_length_a 9.878
_cell_length_b 8.290
_cell_length_c 6.698
_cell_angle_alpha 90.00
_cell_angle_beta 115.95
_cell_angle_gamma 90.00
loop_
_atom_site_label
_atom_site_fract_x
_atom_site_fract_y
_atom_site_fract_z
Li1 0.000 0.176 0.000
Cr1 0.000 0.317 0.500
P1 0.194 0.500 0.941
P2 0.222 0.000 0.554
O1 0.103 0.344 0.835
O2 0.131 0.152 0.464
O3 0.140 0.500 0.504
O4 0.146 0.000 0.030
O5 0.194 0.500 0.183
```

Principal peaks in the range 2θ from 10° to 90°, low angle first:
Position (°2θ)  d [Å]  I (rel.)  h k l
14.67  6.038  100  0 0 1
18.94  4.685  37  2 0 -1
21.44  4.145  20  0 2 0
26.10  3.414  17  0 2 1
29.23  3.055  51  3 1 -1
29.48  3.030  85  2 2 0
29.67  3.011  65  0 0 2
42.75  2.115  17  3 3 -1
48.53  1.876  23  2 2 2
57.87  1.593  23  5 3 -1

[2]
Theoretical X-ray powder pattern
Compound: LiCrPO5
Radiation: CuKα
Structure: DFT lattice parameters and positions (PBE+U)
Intensities are scaled so that the largest is 100.

Structural model:
```
data_LiCrPO5
_symmetry_space_group_name_H-M 'P 1 21/c 1'
_symmetry_Int_Tables_number 14
_symmetry_space_group_name_Hall '-P 2ybc'
_cell_length_a 4.981
_cell_length_b 10.331
_cell_length_c 7.221
_cell_angle_alpha 90.00
_cell_angle_beta 111.10
_cell_angle_gamma 90.00
loop_
_atom_site_label
_atom_site_fract_x
_atom_site_fract_y
_atom_site_fract_z
Li1 0.041 0.102 0.167
Cr1 0.439 0.073 0.822
P1 0.190 0.651 0.972
O1 0.128 0.190 0.648
O2 0.211 0.574 0.160
O3 0.271 0.044 0.001
O4 0.313 0.570 0.841
O5 0.345 0.718 0.531
```

Principal peaks in the range 2θ from 10° to 90°, low angle first:
Position (°2θ)  d [Å]  I (rel.)  h k l
17.17  5.165  34  0 2 0
19.10  4.647  33  1 0 0
20.78  4.275  90  1 1 -1
20.96  4.238  31  1 1 0
21.68  4.099  97  0 2 1
25.79  3.455  33  1 2 0
27.91  3.197  90  1 1 -2
29.12  3.066  29  0 3 1
32.13  2.786  100  1 2 1
44.50  2.036  52  1 4 1

[3]
Theoretical X-ray powder pattern
Compound: Li3CrP2O8
Radiation: CuKα
Structure: DFT lattice parameters and positions (PBE+U)
Intensities are scaled so that the largest is 100.

Structural model:
```
data_Li3CrP2O8
_symmetry_space_group_name_H-M 'P -3'
_symmetry_Int_Tables_number 147
_symmetry_space_group_name_Hall '-P 3'
_cell_length_a 8.7885
_cell_length_b 8.7885
_cell_length_c 6.7511
_cell_angle_alpha 90.00
_cell_angle_beta 90.00
_cell_angle_gamma 120.00
loop_
_atom_site_label
_atom_site_fract_x
_atom_site_fract_y
_atom_site_fract_z
Li1 0.0000 0.0000 0.0000
Li2 0.0698 0.6970 0.7671
Li3 0.3333 0.6667 0.9770
Cr1 0.0000 0.0000 0.5000
Cr2 0.3333 0.6667 0.5488
P1 0.0254 0.6813 0.2542
O1 0.0495 0.1935 0.7031
O2 0.1151 0.7167 0.0537
O3 0.1380 0.5103 0.7411
O4 0.1560 0.7067 0.4209
```

Principal peaks in the range 2θ from 10° to 90°, low angle first:
Position (°2θ)  d [Å]  I (rel.)  h k l
13.11  6.751  25  0 0 1
24.17  3.683  100  2 -1 1
31.09  2.877  10  2 1 0
33.48  2.677  24  2 -1 2
35.38  2.537  17  3 0 0
37.88  2.375  9  0 3 1
41.23  2.189  9  3 -2 2
49.50  1.841  14  4 -2 2
57.11  1.613  8  5 -4 1
62.30  1.490  9  5 -4 2

[4]
Theoretical X-ray powder pattern
Compound: LiCrPO5
Radiation: CuKα
Structure: DFT lattice parameters and positions (PBE+U)
Intensities are scaled so that the largest is 100.

Structural model:
```
data_LiCrPO5
_symmetry_space_group_name_H-M 'P n m a'
_symmetry_Int_Tables_number 62
_symmetry_space_group_name_Hall '-P 2ac 2n'
_cell_length_a 7.602
_cell_length_b 6.040
_cell_length_c 7.767
_cell_angle_alpha 90.00
_cell_angle_beta 90.00
_cell_angle_gamma 90.00
loop_
_atom_site_label
_atom_site_fract_x
_atom_site_fract_y
_atom_site_fract_z
Li1 0.140 0.250 0.164
Cr1 0.000 0.000 0.500
P1 0.140 0.750 0.166
O1 0.001 0.750 0.031
O2 0.113 0.750 0.589
O3 0.133 0.539 0.283
O4 0.169 0.250 0.580
```

Principal peaks in the range 2θ from 10° to 90°, low angle first:
Position (°2θ)  d [Å]  I (rel.)  h k l
16.32  5.433  100  1 0 1
18.61  4.768  37  0 1 1
23.40  3.801  27  2 0 0
25.76  3.459  20  1 0 2
26.10  3.414  32  2 0 1
32.97  2.716  38  2 0 2
33.96  2.640  61  1 2 1
39.62  2.275  26  1 2 2
48.33  1.883  22  3 2 1
59.52  1.553  27  3 2 3

[5]
Theoretical X-ray powder pattern
Compound: LiCr4P3O12
Radiation: CuKα
Structure: DFT lattice parameters and positions (PBE+U)
Intensities are scaled so that the largest is 100.

Structural model:
```
data_LiCr4P3O12
_symmetry_space_group_name_H-M 'I -4 2 d'
_symmetry_Int_Tables_number 122
_symmetry_space_group_name_Hall 'I -4 2bw'
_cell_length_a 6.865
_cell_length_b 6.865
_cell_length_c 19.132
_cell_angle_alpha 90.00
_cell_angle_beta 90.00
_cell_angle_gamma 90.00
loop_
_atom_site_label
_atom_site_fract_x
_atom_site_fract_y
_atom_site_fract_z
Li1 0.000 0.000 0.000
Cr1 0.000 0.000 0.275
Cr2 0.247 0.250 0.625
P1 0.000 0.000 0.500
P2 0.144 0.750 0.125
O1 0.002 0.217 0.189
O2 0.051 0.189 0.542
O3 0.070 0.237 0.355
```

Principal peaks in the range 2θ from 10° to 90°, low angle first:
Position (°2θ)  d [Å]  I (rel.)  h k l
20.52  4.329  19  1 1 2
26.67  3.342  25  1 0 5
29.46  3.032  21  2 1 1
32.09  2.789  100  2 0 4
42.71  2.117  18  3 1 2
50.88  1.795  11  3 1 6
53.38  1.716  15  4 0 0
53.80  1.704  23  2 2 8
57.80  1.595  10  0 0 12
63.66  1.462  10  4 2 4

[6]
Theoretical X-ray powder pattern
Compound: Li2CrP2O8
Radiation: CuKα
Structure: DFT lattice parameters and positions (PBE+U)
Intensities are scaled so that the largest is 100.

Structural model:
```
data_Li2CrP2O8
_symmetry_space_group_name_H-M 'P -1'
_symmetry_Int_Tables_number 2
_symmetry_space_group_name_Hall '-P 1'
_cell_length_a 4.911
_cell_length_b 8.241
_cell_length_c 8.678
_cell_angle_alpha 114.78
_cell_angle_beta 103.73
_cell_angle_gamma 90.43
loop_
_atom_site_label
_atom_site_fract_x
_atom_site_fract_y
_atom_site_fract_z
Li1 0.117 0.389 0.090
Li2 0.363 0.089 0.806
Cr1 0.224 0.232 0.448
P1 0.192 0.800 0.316
P2 0.352 0.677 0.745
O1 0.040 0.713 0.738
O2 0.069 0.970 0.304
O3 0.080 0.746 0.443
O4 0.092 0.642 0.137
O5 0.381 0.485 0.617
O6 0.479 0.277 0.066
O7 0.480 0.164 0.624
O8 0.497 0.815 0.695
```

Principal peaks in the range 2θ from 10° to 90°, low angle first:
Position (°2θ)  d [Å]  I (rel.)  h k l
11.65  7.598  100  0 0 1
20.01  4.436  9  0 1 1
23.96  3.713  71  0 2 0
24.99  3.564  45  1 1 -2
28.88  3.091  7  1 -2 1
31.05  2.880  12  0 2 1
31.49  2.841  12  1 -1 2
36.64  2.453  15  2 0 -1
39.66  2.272  7  1 -3 2
43.07  2.100  9  0 3 1